(1)
Calculated XRD peak list
Compound: Cu2SnBi
Radiation: Cu Kα (λ = 1.5418 Å)
Structure: DFT lattice parameters and positions (GGA-PBE)

Main lines, in order of rising 2θ (10 to 90 degrees two-theta):
hkl, 2θ (°), intensity
2 0 0, 26.0, 22
2 2 0, 37.1, 100
2 2 2, 45.8, 7
4 0 0, 53.4, 17
4 2 0, 60.3, 11
4 2 2, 66.8, 33
4 4 0, 78.9, 10
6 0 0, 84.8, 7

Structural model:
Unit cell a=6.863 b=6.863 c=6.863 alpha=90.00 beta=90.00 gamma=90.00
Element x y z (fractional)
Cu 0.230 0.230 0.230
Cu 0.230 0.230 0.770
Cu 0.230 0.770 0.230
Cu 0.230 0.770 0.770
Cu 0.770 0.230 0.230
Cu 0.770 0.230 0.770
Cu 0.770 0.770 0.230
Cu 0.770 0.770 0.770
Sn 0.000 0.000 0.000
Sn 0.000 0.000 0.500
Sn 0.000 0.500 0.000
Sn 0.500 0.000 0.000
Bi 0.000 0.500 0.500
Bi 0.500 0.000 0.500
Bi 0.500 0.500 0.000
Bi 0.500 0.500 0.500

(2)
Calculated XRD peak list
Compound: ZnCu2Bi
Radiation: Cu Kα (λ = 1.5418 Å)
Structure: DFT lattice parameters and positions (GGA-PBE)

Main lines, in order of rising 2θ (10 to 90 degrees two-theta):
hkl, 2θ (°), intensity
2 0 0, 27.4, 19
2 1 0, 30.7, 23
2 2 0, 39.1, 100
3 0 0, 41.6, 9
4 0 0, 56.5, 15
3 2 2, 58.4, 9
4 2 0, 63.9, 13
4 2 2, 70.9, 27

Structural model:
Unit cell a=6.513 b=6.513 c=6.513 alpha=90.00 beta=90.00 gamma=90.00
Element x y z (fractional)
Zn 0.000 0.000 0.000
Zn 0.000 0.000 0.500
Zn 0.000 0.500 0.000
Zn 0.500 0.000 0.000
Cu 0.214 0.214 0.214
Cu 0.214 0.214 0.786
Cu 0.214 0.786 0.214
Cu 0.214 0.786 0.786
Cu 0.786 0.214 0.214
Cu 0.786 0.214 0.786
Cu 0.786 0.786 0.214
Cu 0.786 0.786 0.786
Bi 0.000 0.500 0.500
Bi 0.500 0.000 0.500
Bi 0.500 0.500 0.000
Bi 0.500 0.500 0.500